Calculated powder diffractogram
Compound: LiPr2RuO5
Radiation: Cu Kα (weighted mean of Kα1 and Kα2)
Structure: a structure optimized by DFT (GGA-PBE)

Structure:
```
LiPr2RuO5
1.0
6.8911 0.0000 0.0000
0.0000 6.8911 0.0000
0.0000 0.0000 5.7975
Li Pr Ru O
2 4 2 10
Cartesian
0.0000 0.0000 0.0000
3.4455 3.4455 0.0000
1.2191 2.2264 2.8987
2.2264 5.6719 2.8987
4.6647 1.2191 2.8987
5.6719 4.6647 2.8987
0.0000 3.4455 0.0000
3.4455 0.0000 0.0000
0.0000 0.0000 2.8987
0.9284 4.3739 1.4308
0.9284 4.3739 4.3667
2.5171 0.9284 1.4308
2.5171 0.9284 4.3667
3.4455 3.4455 2.8987
4.3739 5.9627 1.4308
4.3739 5.9627 4.3667
5.9627 2.5171 1.4308
5.9627 2.5171 4.3667
```

Main lines, sorted by position (15° ≤ 2θ ≤ 90°):
| h k l | two_theta | I (rel.) |
| --- | --- | --- |
| 0 0 1 | 15.28 | 67 |
| 1 1 0 | 18.21 | 71 |
| 2 1 0 | 28.97 | 36 |
| 2 0 1 | 30.17 | 100 |
| 0 0 2 | 30.85 | 39 |
| 2 1 1 | 32.91 | 94 |
| 2 1 2 | 42.83 | 68 |
| 3 1 1 | 44.41 | 55 |

Calculated powder diffractogram
Compound: LiPr2SeO5
Radiation: Cu Kα (weighted mean of Kα1 and Kα2)
Structure: a structure optimized by DFT (GGA-PBE)

Structure:
```
LiPr2SeO5
1.0
6.8734 0.0000 0.0000
0.0000 6.8734 0.0000
0.0000 0.0000 5.9200
Li Pr Se O
2 4 2 10
Cartesian
0.0000 0.0000 0.0000
3.4367 3.4367 0.0000
1.2115 2.2252 2.9600
2.2252 5.6619 2.9600
4.6483 1.2115 2.9600
5.6619 4.6483 2.9600
0.0000 3.4367 0.0000
3.4367 0.0000 0.0000
0.0000 0.0000 2.9600
0.9465 4.3832 1.4821
0.9465 4.3832 4.4379
2.4902 0.9465 1.4821
2.4902 0.9465 4.4379
3.4367 3.4367 2.9600
4.3832 5.9269 1.4821
4.3832 5.9269 4.4379
5.9269 2.4902 1.4821
5.9269 2.4902 4.4379
```

Main lines, sorted by position (15° ≤ 2θ ≤ 90°):
| h k l | two_theta | I (rel.) |
| --- | --- | --- |
| 1 1 0 | 18.25 | 54 |
| 2 1 0 | 29.05 | 38 |
| 2 0 1 | 30.07 | 87 |
| 0 0 2 | 30.19 | 38 |
| 2 1 1 | 32.83 | 100 |
| 2 1 2 | 42.39 | 75 |
| 3 1 1 | 44.40 | 48 |
| 4 1 1 | 57.43 | 29 |